Record 1
NaAlSe2: simulated PXRD pattern (Cu Ka), based on a GGA-PBE-relaxed structure.
No peak broadening, texture or thermal motion is included.

Largest 8 diffraction maxima, in order of rising 2θ, 2θ = 10–90°:
2θ = 25.14°, rel. 94, hkl 2 2 1
2θ = 28.21°, rel. 100, hkl 2 2 2
2θ = 32.32°, rel. 75, hkl 2 2 -4
2θ = 33.73°, rel. 59, hkl 4 0 -2
2θ = 46.60°, rel. 70, hkl 4 0 4
2θ = 47.51°, rel. 50, hkl 4 4 -1
2θ = 54.51°, rel. 30, hkl 6 2 0
2θ = 56.18°, rel. 27, hkl 2 6 -3

Structure:
abc: 10.824 10.826 14.309
angles: 90.00 100.97 90.00
Space group C2/c (No. 15)
Unique sites:
Na 0.034 0.187 0.381 (multiplicity 8)
Na 0.219 0.438 0.127 (multiplicity 8)
Al 0.099 0.189 0.652 (multiplicity 8)
Al 0.148 0.436 0.848 (multiplicity 8)
Se 0.000 0.054 0.750 (multiplicity 4)
Se 0.000 0.430 0.250 (multiplicity 4)
Se 0.051 0.312 0.954 (multiplicity 8)
Se 0.200 0.063 0.550 (multiplicity 8)
Se 0.242 0.188 0.250 (multiplicity 8)

---

Record 2
NaAlSe2: simulated PXRD pattern (Cu Ka), based on a GGA-PBE-relaxed structure.
No peak broadening, texture or thermal motion is included.

Largest 8 diffraction maxima, in order of rising 2θ, 2θ = 10–90°:
2θ = 16.27°, rel. 14, hkl 1 1 0
2θ = 29.45°, rel. 100, hkl 2 1 1
2θ = 32.87°, rel. 12, hkl 2 2 0
2θ = 36.56°, rel. 36, hkl 2 0 2
2θ = 46.91°, rel. 12, hkl 3 1 2
2θ = 50.41°, rel. 22, hkl 2 1 3
2θ = 50.91°, rel. 23, hkl 4 1 1
2θ = 58.46°, rel. 12, hkl 3 3 2

Structure:
abc: 7.707 7.707 6.381
angles: 90.00 90.00 90.00
Space group I4/mcm (No. 140)
Unique sites:
Na 0.000 0.000 0.250 (multiplicity 4)
Al 0.000 0.500 0.250 (multiplicity 4)
Se 0.169 0.331 0.000 (multiplicity 8)

---

Record 3
Na3AlSiTe4: simulated PXRD pattern (Cu Ka), based on a GGA-PBE-relaxed structure.
No peak broadening, texture or thermal motion is included.

Largest 8 diffraction maxima, in order of rising 2θ, 2θ = 10–90°:
2θ = 20.80°, rel. 89, hkl 0 1 2
2θ = 22.45°, rel. 64, hkl 1 1 0
2θ = 23.73°, rel. 100, hkl 0 2 0
2θ = 25.47°, rel. 44, hkl 1 -1 0
2θ = 26.48°, rel. 71, hkl 1 1 2
2θ = 26.70°, rel. 57, hkl 0 1 -2
2θ = 31.26°, rel. 70, hkl 1 0 -2
2θ = 33.70°, rel. 58, hkl 0 2 3

Structure:
abc: 4.369 7.947 9.042
angles: 72.47 80.59 79.35
Space group P1 (No. 1)
Unique sites:
Na 0.000 0.000 0.000 (multiplicity 1)
Na 0.017 0.695 0.482 (multiplicity 1)
Na 0.508 0.375 0.770 (multiplicity 1)
Al 0.908 0.600 0.975 (multiplicity 1)
Si 0.685 0.329 0.361 (multiplicity 1)
Te 0.092 0.278 0.568 (multiplicity 1)
Te 0.196 0.286 0.104 (multiplicity 1)
Te 0.424 0.759 0.793 (multiplicity 1)
Te 0.615 0.694 0.230 (multiplicity 1)

---

Record 4
Na3AlSiTe4: simulated PXRD pattern (Cu Ka), based on a GGA-PBE-relaxed structure.
No peak broadening, texture or thermal motion is included.

Largest 8 diffraction maxima, in order of rising 2θ, 2θ = 10–90°:
2θ = 11.07°, rel. 52, hkl 0 0 1
2θ = 22.24°, rel. 100, hkl 0 0 2
2θ = 23.03°, rel. 64, hkl 0 2 0
2θ = 23.21°, rel. 66, hkl 1 0 1
2θ = 23.42°, rel. 57, hkl 0 2 2
2θ = 23.72°, rel. 56, hkl 1 0 -1
2θ = 26.60°, rel. 84, hkl 1 2 1
2θ = 31.49°, rel. 49, hkl -1 2 1

Structure:
abc: 4.367 8.846 9.077
angles: 61.75 84.28 80.59
Space group P1 (No. 1)
Unique sites:
Na 0.000 0.000 0.000 (multiplicity 1)
Na 0.244 0.413 0.599 (multiplicity 1)
Na 0.595 0.679 0.257 (multiplicity 1)
Al 0.120 0.517 0.042 (multiplicity 1)
Si 0.404 0.065 0.325 (multiplicity 1)
Te 0.035 0.821 0.395 (multiplicity 1)
Te 0.397 0.264 0.974 (multiplicity 1)
Te 0.582 0.731 0.902 (multiplicity 1)
Te 0.950 0.322 0.359 (multiplicity 1)

---

Record 5
NaAlTe2: simulated PXRD pattern (Cu Ka), based on a GGA-PBE-relaxed structure.
No peak broadening, texture or thermal motion is included.

Largest 8 diffraction maxima, in order of rising 2θ, 2θ = 10–90°:
2θ = 25.92°, rel. 17, hkl 0 0 2
2θ = 27.28°, rel. 100, hkl 2 1 1
2θ = 33.84°, rel. 32, hkl 2 0 2
2θ = 43.34°, rel. 12, hkl 3 1 2
2θ = 46.56°, rel. 23, hkl 2 1 3
2θ = 46.98°, rel. 29, hkl 4 1 1
2θ = 53.87°, rel. 13, hkl 3 3 2
2θ = 61.24°, rel. 13, hkl 4 1 3

Structure:
abc: 8.310 8.310 6.876
angles: 90.00 90.00 90.00
Space group I4/mcm (No. 140)
Unique sites:
Na 0.000 0.000 0.250 (multiplicity 4)
Al 0.000 0.500 0.250 (multiplicity 4)
Te 0.173 0.327 0.000 (multiplicity 8)

---

Record 6
NaAlTe2: simulated PXRD pattern (Cu Ka), based on a GGA-PBE-relaxed structure.
No peak broadening, texture or thermal motion is included.

Largest 8 diffraction maxima, in order of rising 2θ, 2θ = 10–90°:
2θ = 22.23°, rel. 68, hkl 1 0 1
2θ = 24.69°, rel. 23, hkl 0 0 4
2θ = 28.36°, rel. 100, hkl 1 0 3
2θ = 30.37°, rel. 46, hkl 1 1 0
2θ = 39.53°, rel. 44, hkl 1 1 4
2θ = 43.49°, rel. 26, hkl 2 0 0
2θ = 49.36°, rel. 34, hkl 1 0 7
2θ = 52.73°, rel. 35, hkl 2 1 3

Structure:
abc: 4.162 4.162 14.422
angles: 90.00 90.00 90.00
Space group I-4m2 (No. 119)
Unique sites:
Na 0.000 0.000 0.000 (multiplicity 2)
Al 0.000 0.500 0.250 (multiplicity 2)
Te 0.000 0.000 0.364 (multiplicity 4)